TaFe2Au: computed powder XRD pattern (Cu Kα (weighted mean of Kα1 and Kα2)), based on the PBE geometry in Alexandria.
No peak broadening, texture or thermal motion is included.

a b c (Å): 2.9327 2.9327 6.8784
angles (deg): 90.00 90.00 90.00
Atoms (fractional coordinates):
Ta: 0.0000 0.0000 0.0000
Fe: 0.0000 0.0000 0.4330
Fe: 0.5000 0.5000 0.2440
Au: 0.5000 0.5000 0.6931

Peak list (10 most intense, 2θ from 15° to 90°, by angle)
- 33.21 deg, I = 47.3, hkl 1 0 1
- 39.30 deg, I = 14.8, hkl 0 0 3
- 40.42 deg, I = 100.0, hkl 1 0 2
- 43.65 deg, I = 46.0, hkl 1 1 0
- 60.17 deg, I = 17.4, hkl 1 1 3
- 63.44 deg, I = 14.9, hkl 2 0 0
- 71.24 deg, I = 11.8, hkl 1 1 4
- 73.51 deg, I = 10.4, hkl 2 1 1
- 76.48 deg, I = 11.5, hkl 1 0 5
- 77.96 deg, I = 28.8, hkl 2 1 2